YMg6Sn: simulated X-ray diffraction stick pattern (Cu Ka), based on a DFT-relaxed cell (PBE, the Materials Project).

Peak list (10 most intense, 2θ = 10–90°, in order of rising 2θ)
| d/Å | I_rel | h k l |
| --- | --- | --- |
| 5.749 | 77.5 | 0 1 1 |
| 3.820 | 51.6 | 1 0 2 |
| 2.874 | 28.7 | 0 2 2 |
| 2.777 | 35.0 | 1 1 3 |
| 2.563 | 36.9 | 2 0 0 |
| 2.507 | 100.0 | 1 2 2 |
| 2.494 | 54.9 | 1 0 4 |
| 2.341 | 19.9 | 2 1 1 |
| 1.652 | 20.8 | 0 2 6 |
| 1.389 | 20.8 | 2 2 6 |

Lattice parameters (Å, degrees): 5.1268 6.6530 11.4197 90.00 90.00 90.00
Positions (direct):
Y  0.0000  0.0000  0.0000
Y  0.0000  0.5000  0.5000
Mg  0.0000  0.0000  0.5070
Mg  0.0000  0.2458  0.2509
Mg  0.0000  0.2542  0.7509
Mg  0.0000  0.5000  0.0070
Mg  0.0000  0.7458  0.7509
Mg  0.0000  0.7542  0.2509
Mg  0.5000  0.0000  0.3393
Mg  0.5000  0.2390  0.5914
Mg  0.5000  0.2610  0.0914
Mg  0.5000  0.5000  0.8393
Mg  0.5000  0.7390  0.0914
Mg  0.5000  0.7610  0.5914
Sn  0.5000  0.0000  0.8393
Sn  0.5000  0.5000  0.3393